Entry 1:
Diffraction record for HoCdCu. The powder diffraction line list is simulated, not measured: it uses DFT lattice parameters and positions (GGA-PBE) and Cu Kα (weighted mean of Kα1 and Kα2).

Largest 10 diffraction maxima, by angle, 15 to 90 degrees two-theta:
33.35 deg, intensity 100, (3 1 1); 34.06 deg, intensity 20, (1 1 2); 36.15 deg, intensity 59, (4 1 0); 36.41 deg, intensity 37, (4 0 2); 41.50 deg, intensity 24, (6 0 0); 47.46 deg, intensity 22, (0 2 0); 50.40 deg, intensity 12, (7 0 1); 56.19 deg, intensity 19, (7 1 1); 61.26 deg, intensity 17, (4 2 2); 67.09 deg, intensity 20, (7 1 3)

Structural model:
```
data_HoCdCu
_symmetry_space_group_name_H-M 'P m m a'
_symmetry_Int_Tables_number 51
_cell_length_a 13.0521
_cell_length_b 3.8312
_cell_length_c 7.5422
_cell_angle_alpha 90.00
_cell_angle_beta 90.00
_cell_angle_gamma 90.00
loop_
_symmetry_equiv_pos_as_xyz
'x,y,z'
'-x,-y,-z'
'-x+1/2,-y,z'
'x+1/2,y,-z'
'x+1/2,-y,-z'
'-x+1/2,y,z'
'-x,y,-z'
'x,-y,z'
loop_
_atom_site_label
_atom_site_type_symbol
_atom_site_fract_x
_atom_site_fract_y
_atom_site_fract_z
Ho1 Ho 0.0452 0.0000 0.2309
Ho2 Ho 0.2500 0.0000 0.8478
Cd1 Cd 0.1167 0.5000 0.5690
Cd2 Cd 0.2500 0.5000 0.1949
Cu1 Cu 0.0911 0.5000 0.9451
Cu2 Cu 0.2500 0.0000 0.4494
```

***

Entry 2:
Diffraction record for Ho4CdCu3. The powder diffraction line list is simulated, not measured: it uses DFT lattice parameters and positions (GGA-PBE) and Cu Kα (weighted mean of Kα1 and Kα2).

Largest 10 diffraction maxima, by angle, 15 to 90 degrees two-theta:
25.21 deg, intensity 11, (0 1 2); 35.76 deg, intensity 21, (0 2 0); 36.06 deg, intensity 100, (1 1 2); 51.75 deg, intensity 14, (0 2 4); 52.03 deg, intensity 7, (2 0 0); 64.44 deg, intensity 14, (1 3 2); 64.74 deg, intensity 7, (2 2 0); 64.95 deg, intensity 20, (2 0 4); 76.45 deg, intensity 8, (2 2 4); 87.76 deg, intensity 6, (3 1 2)

Structural model:
```
data_Ho4CdCu3
_symmetry_space_group_name_H-M 'P m m m'
_symmetry_Int_Tables_number 47
_cell_length_a 3.5153
_cell_length_b 5.0217
_cell_length_c 9.9420
_cell_angle_alpha 90.00
_cell_angle_beta 90.00
_cell_angle_gamma 90.00
loop_
_symmetry_equiv_pos_as_xyz
'x,y,z'
'-x,-y,-z'
'-x,-y,z'
'x,y,-z'
'x,-y,-z'
'-x,y,z'
'-x,y,-z'
'x,-y,z'
loop_
_atom_site_label
_atom_site_type_symbol
_atom_site_fract_x
_atom_site_fract_y
_atom_site_fract_z
Ho1 Ho 0.0000 0.0000 0.0000
Ho2 Ho 0.0000 0.0000 0.5000
Ho3 Ho 0.0000 0.5000 0.2351
Cd1 Cd 0.5000 0.5000 0.5000
Cu1 Cu 0.5000 0.0000 0.2519
Cu2 Cu 0.5000 0.5000 0.0000
```

***

Entry 3:
Diffraction record for Ho2Cd2Cu15. The powder diffraction line list is simulated, not measured: it uses DFT lattice parameters and positions (GGA-PBE) and Cu Kα (weighted mean of Kα1 and Kα2).

Largest 10 diffraction maxima, by angle, 15 to 90 degrees two-theta:
30.52 deg, intensity 30, (1 0 4); 35.62 deg, intensity 66, (3 0 0); 36.96 deg, intensity 48, (0 2 4); 41.37 deg, intensity 79, (2 2 0); 41.70 deg, intensity 100, (0 3 3); 42.55 deg, intensity 38, (2 1 4); 42.70 deg, intensity 29, (0 0 6); 46.83 deg, intensity 39, (2 2 3); 75.44 deg, intensity 27, (6 0 0); 77.50 deg, intensity 20, (0 3 9)

Structural model:
```
data_Ho2Cd2Cu15
_symmetry_space_group_name_H-M 'R -3 m'
_symmetry_Int_Tables_number 166
_symmetry_space_group_name_Hall '-R 3 2"'
_cell_length_a 8.7304
_cell_length_b 8.7304
_cell_length_c 12.7062
_cell_angle_alpha 90.00
_cell_angle_beta 90.00
_cell_angle_gamma 120.00
loop_
_atom_site_label
_atom_site_type_symbol
_atom_site_fract_x
_atom_site_fract_y
_atom_site_fract_z
Ho1 Ho 0.0000 0.0000 0.1465
Cd1 Cd 0.0000 0.0000 0.3930
Cu1 Cu 0.0000 0.3075 0.5000
Cu2 Cu 0.0000 0.5000 0.0000
Cu3 Cu 0.0082 0.5041 0.6545
```

***

Entry 4:
Diffraction record for Ho4CdCu. The powder diffraction line list is simulated, not measured: it uses DFT lattice parameters and positions (GGA-PBE) and Cu Kα (weighted mean of Kα1 and Kα2).

Largest 10 diffraction maxima, by angle, 15 to 90 degrees two-theta:
26.38 deg, intensity 11, (1 0 1); 29.08 deg, intensity 7, (1 0 2); 33.14 deg, intensity 100, (1 0 3); 36.25 deg, intensity 46, (1 1 0); 42.58 deg, intensity 8, (0 0 6); 52.20 deg, intensity 16, (2 0 0); 57.12 deg, intensity 13, (1 1 6); 63.24 deg, intensity 31, (2 1 3); 69.56 deg, intensity 7, (2 0 6); 88.15 deg, intensity 7, (3 1 0)

Structural model:
```
data_Ho4CdCu
_symmetry_space_group_name_H-M 'P 4/m m m'
_symmetry_Int_Tables_number 123
_symmetry_space_group_name_Hall '-P 4 2'
_cell_length_a 3.5046
_cell_length_b 3.5046
_cell_length_c 12.7406
_cell_angle_alpha 90.00
_cell_angle_beta 90.00
_cell_angle_gamma 90.00
loop_
_atom_site_label
_atom_site_type_symbol
_atom_site_fract_x
_atom_site_fract_y
_atom_site_fract_z
Ho1 Ho 0.0000 0.0000 0.1336
Ho2 Ho 0.5000 0.5000 0.3339
Cd1 Cd 0.0000 0.0000 0.5000
Cu1 Cu 0.5000 0.5000 0.0000
```

***

Entry 5:
Diffraction record for Ho3CdCu8. The powder diffraction line list is simulated, not measured: it uses DFT lattice parameters and positions (GGA-PBE) and Cu Kα (weighted mean of Kα1 and Kα2).

Largest 10 diffraction maxima, by angle, 15 to 90 degrees two-theta:
29.04 deg, intensity 16, (1 0 2); 34.66 deg, intensity 58, (1 1 0); 37.71 deg, intensity 88, (0 1 3); 40.89 deg, intensity 100, (1 1 2); 41.69 deg, intensity 60, (0 2 1); 64.14 deg, intensity 36, (1 2 3); 66.36 deg, intensity 26, (3 0 2); 69.67 deg, intensity 26, (2 0 5); 73.14 deg, intensity 23, (2 2 0); 85.35 deg, intensity 16, (3 1 3)

Structural model:
```
data_Ho3CdCu8
_symmetry_space_group_name_H-M 'P 3 m 1'
_symmetry_Int_Tables_number 156
_cell_length_a 5.1758
_cell_length_b 5.1758
_cell_length_c 8.4517
_cell_angle_alpha 90.00
_cell_angle_beta 90.00
_cell_angle_gamma 120.00
loop_
_symmetry_equiv_pos_as_xyz
'x,y,z'
'-y,x-y,z'
'-x+y,-x,z'
'-y,-x,z'
'-x+y,y,z'
'x,x-y,z'
loop_
_atom_site_label
_atom_site_type_symbol
_atom_site_fract_x
_atom_site_fract_y
_atom_site_fract_z
Ho1 Ho 0.0000 0.0000 0.0000
Ho2 Ho 0.0000 0.0000 0.3877
Ho3 Ho 0.3333 0.6667 0.8552
Cd1 Cd 0.3333 0.6667 0.4875
Cu1 Cu 0.0024 0.5012 0.1840
Cu2 Cu 0.3349 0.1675 0.6853
Cu3 Cu 0.6667 0.3333 0.4366
Cu4 Cu 0.6667 0.3333 0.9380
```

***

Entry 6:
Diffraction record for HoCdCu2. The powder diffraction line list is simulated, not measured: it uses DFT lattice parameters and positions (GGA-PBE) and Cu Kα (weighted mean of Kα1 and Kα2).

Largest 10 diffraction maxima, by angle, 15 to 90 degrees two-theta:
22.06 deg, intensity 10, (0 1 1); 35.17 deg, intensity 100, (1 1 3); 35.66 deg, intensity 49, (1 0 4); 36.55 deg, intensity 67, (2 1 1); 41.52 deg, intensity 25, (1 1 4); 41.72 deg, intensity 38, (0 2 0); 46.92 deg, intensity 13, (3 0 2); 56.05 deg, intensity 18, (1 2 4); 64.57 deg, intensity 10, (3 2 2); 71.90 deg, intensity 17, (1 3 3)

Structural model:
```
data_HoCdCu2
_symmetry_space_group_name_H-M 'P n m a'
_symmetry_Int_Tables_number 62
_cell_length_a 6.2068
_cell_length_b 4.3296
_cell_length_c 11.0068
_cell_angle_alpha 90.00
_cell_angle_beta 90.00
_cell_angle_gamma 90.00
loop_
_symmetry_equiv_pos_as_xyz
'x,y,z'
'-x,-y,-z'
'-x+1/2,-y,z+1/2'
'x+1/2,y,-z+1/2'
'x+1/2,-y+1/2,-z+1/2'
'-x+1/2,y+1/2,z+1/2'
'-x,y+1/2,-z'
'x,-y+1/2,z'
loop_
_atom_site_label
_atom_site_type_symbol
_atom_site_fract_x
_atom_site_fract_y
_atom_site_fract_z
Ho1 Ho 0.2208 0.2500 0.1690
Cd1 Cd 0.1829 0.2500 0.4604
Cu1 Cu 0.0529 0.7500 0.3207
Cu2 Cu 0.0614 0.2500 0.9000
```

***

Entry 7:
Diffraction record for Ho4Zn2CdCu. The powder diffraction line list is simulated, not measured: it uses DFT lattice parameters and positions (GGA-PBE) and Cu Kα (weighted mean of Kα1 and Kα2).

Largest 10 diffraction maxima, by angle, 15 to 90 degrees two-theta:
24.90 deg, intensity 26, (1 0 4); 35.43 deg, intensity 100, (1 1 0); 35.57 deg, intensity 93, (0 1 8); 51.08 deg, intensity 33, (2 0 8); 63.67 deg, intensity 51, (3 0 0); 63.98 deg, intensity 14, (1 0 16); 74.97 deg, intensity 11, (2 2 0); 75.32 deg, intensity 8, (0 2 16); 85.83 deg, intensity 15, (3 1 8); 86.08 deg, intensity 12, (2 1 16)

Structural model:
```
data_Ho4Zn2CdCu
_symmetry_space_group_name_H-M 'R -3 m'
_symmetry_Int_Tables_number 166
_symmetry_space_group_name_Hall '-R 3 2"'
_cell_length_a 5.0670
_cell_length_b 5.0670
_cell_length_c 24.6790
_cell_angle_alpha 90.00
_cell_angle_beta 90.00
_cell_angle_gamma 120.00
loop_
_atom_site_label
_atom_site_type_symbol
_atom_site_fract_x
_atom_site_fract_y
_atom_site_fract_z
Ho1 Ho 0.0000 0.0000 0.1189
Ho2 Ho 0.0000 0.0000 0.3697
Zn1 Zn 0.0000 0.0000 0.2458
Cd1 Cd 0.0000 0.0000 0.5000
Cu1 Cu 0.0000 0.0000 0.0000
```

***

Entry 8:
Diffraction record for Cd2Cu2I7. The powder diffraction line list is simulated, not measured: it uses DFT lattice parameters and positions (GGA-PBE) and Cu Kα (weighted mean of Kα1 and Kα2).

Largest 10 diffraction maxima, by angle, 15 to 90 degrees two-theta:
18.09 deg, intensity 100, (0 2 2); 23.02 deg, intensity 77, (2 2 1); 23.45 deg, intensity 50, (1 1 3); 23.56 deg, intensity 43, (1 3 -2); 25.53 deg, intensity 61, (2 2 -3); 25.66 deg, intensity 88, (1 3 2); 31.73 deg, intensity 42, (3 1 -4); 40.62 deg, intensity 41, (3 1 4); 42.48 deg, intensity 45, (1 3 -6); 43.97 deg, intensity 49, (1 5 4)

Structural model:
```
data_Cd2Cu2I7
_symmetry_space_group_name_H-M 'C 1 2/c 1'
_symmetry_Int_Tables_number 15
_cell_length_a 11.1284
_cell_length_b 13.7562
_cell_length_c 14.4202
_cell_angle_alpha 90.00
_cell_angle_beta 104.02
_cell_angle_gamma 90.00
loop_
_symmetry_equiv_pos_as_xyz
'x,y,z'
'-x,-y,-z'
'-x,y,-z+1/2'
'x,-y,z+1/2'
'x+1/2,y+1/2,z'
'-x+1/2,-y+1/2,-z'
'-x+1/2,y+1/2,-z+1/2'
'x+1/2,-y+1/2,z+1/2'
loop_
_atom_site_label
_atom_site_type_symbol
_atom_site_fract_x
_atom_site_fract_y
_atom_site_fract_z
Cd1 Cd 0.1626 0.0415 0.0026
Cu1 Cu 0.1878 0.1295 0.2706
I1 I 0.0000 0.2322 0.2500
I2 I 0.0729 0.1135 0.6006
I3 I 0.1783 0.4846 0.6125
I4 I 0.2021 0.3261 0.8606
```

***

Entry 9:
Diffraction record for CdCu4I7. The powder diffraction line list is simulated, not measured: it uses DFT lattice parameters and positions (GGA-PBE) and Cu Kα (weighted mean of Kα1 and Kα2).

Largest 10 diffraction maxima, by angle, 15 to 90 degrees two-theta:
19.07 deg, intensity 60, (2 2 0); 23.30 deg, intensity 72, (1 1 2); 25.42 deg, intensity 100, (4 2 0); 27.00 deg, intensity 56, (0 2 2); 28.79 deg, intensity 80, (4 0 2); 41.17 deg, intensity 87, (5 3 2); 43.22 deg, intensity 37, (0 0 4); 44.55 deg, intensity 40, (4 4 2); 47.70 deg, intensity 36, (1 5 2); 50.79 deg, intensity 31, (4 2 4)

Structural model:
```
data_CdCu4I7
_symmetry_space_group_name_H-M 'C m c m'
_symmetry_Int_Tables_number 63
_symmetry_space_group_name_Hall '-C 2c 2'
_cell_length_a 18.4603
_cell_length_b 10.7755
_cell_length_c 8.3722
_cell_angle_alpha 90.00
_cell_angle_beta 90.00
_cell_angle_gamma 90.00
loop_
_atom_site_label
_atom_site_type_symbol
_atom_site_fract_x
_atom_site_fract_y
_atom_site_fract_z
Cd1 Cd 0.0000 0.2451 0.2500
Cu1 Cu 0.1193 0.1581 0.7500
Cu2 Cu 0.1946 0.5000 0.0000
I1 I 0.0000 0.0241 0.7500
I2 I 0.1149 0.2989 0.0033
I3 I 0.2230 0.0052 0.2500
```

***

Entry 10:
Diffraction record for CdCuI2O8. The powder diffraction line list is simulated, not measured: it uses DFT lattice parameters and positions (GGA-PBE) and Cu Kα (weighted mean of Kα1 and Kα2).

Largest 10 diffraction maxima, by angle, 15 to 90 degrees two-theta:
24.84 deg, intensity 100, (2 0 0); 31.53 deg, intensity 88, (1 1 2); 35.42 deg, intensity 21, (2 2 0); 48.14 deg, intensity 66, (3 1 2); 50.96 deg, intensity 17, (4 0 0); 57.50 deg, intensity 15, (4 2 0); 59.86 deg, intensity 15, (2 0 4); 61.17 deg, intensity 18, (3 3 2); 72.72 deg, intensity 14, (5 1 2); 82.42 deg, intensity 13, (4 2 4)

Structural model:
```
data_CdCuI2O8
_symmetry_space_group_name_H-M 'I -4 m 2'
_symmetry_Int_Tables_number 119
_symmetry_space_group_name_Hall 'I -4 -2'
_cell_length_a 7.1675
_cell_length_b 7.1675
_cell_length_c 6.8493
_cell_angle_alpha 90.00
_cell_angle_beta 90.00
_cell_angle_gamma 90.00
loop_
_atom_site_label
_atom_site_type_symbol
_atom_site_fract_x
_atom_site_fract_y
_atom_site_fract_z
Cd1 Cd 0.0000 0.0000 0.0000
Cu1 Cu 0.0000 0.5000 0.2500
I1 I 0.0000 0.0000 0.5000
I2 I 0.0000 0.5000 0.7500
O1 O 0.0000 0.2017 0.3234
O2 O 0.0000 0.3092 0.9308
```

***

Entry 11:
Diffraction record for CdIn2Cu9. The powder diffraction line list is simulated, not measured: it uses DFT lattice parameters and positions (GGA-PBE) and Cu Kα (weighted mean of Kα1 and Kα2).

Largest 10 diffraction maxima, by angle, 15 to 90 degrees two-theta:
33.75 deg, intensity 19, (3 1 0); 35.08 deg, intensity 18, (2 2 1); 35.66 deg, intensity 17, (0 0 2); 38.31 deg, intensity 100, (3 1 1); 41.83 deg, intensity 27, (2 0 2); 42.77 deg, intensity 42, (3 2 1); 43.26 deg, intensity 85, (2 1 2); 44.47 deg, intensity 36, (4 1 0); 45.83 deg, intensity 17, (3 3 0); 65.82 deg, intensity 18, (3 1 3)

Structural model:
```
data_CdIn2Cu9
_symmetry_space_group_name_H-M 'P 4/m b m'
_symmetry_Int_Tables_number 127
_symmetry_space_group_name_Hall '-P 4 2ab'
_cell_length_a 8.3993
_cell_length_b 8.3993
_cell_length_c 5.0357
_cell_angle_alpha 90.00
_cell_angle_beta 90.00
_cell_angle_gamma 90.00
loop_
_atom_site_label
_atom_site_type_symbol
_atom_site_fract_x
_atom_site_fract_y
_atom_site_fract_z
Cd1 Cd 0.0000 0.0000 0.0000
In1 In 0.1267 0.3733 0.0000
Cu1 Cu 0.0000 0.5000 0.5000
Cu2 Cu 0.0637 0.2026 0.5000
Cu3 Cu 0.1762 0.6762 0.2462
```

***

Entry 12:
Diffraction record for Cd2In2Cu. The powder diffraction line list is simulated, not measured: it uses DFT lattice parameters and positions (GGA-PBE) and Cu Kα (weighted mean of Kα1 and Kα2).

Largest 10 diffraction maxima, by angle, 15 to 90 degrees two-theta:
32.40 deg, intensity 88, (2 1 1); 33.89 deg, intensity 36, (0 0 2); 35.80 deg, intensity 100, (1 4 1); 38.18 deg, intensity 24, (1 5 0); 38.35 deg, intensity 21, (2 3 1); 42.60 deg, intensity 17, (1 3 2); 43.58 deg, intensity 15, (2 0 2); 46.01 deg, intensity 18, (3 3 0); 61.88 deg, intensity 19, (1 4 3); 66.13 deg, intensity 22, (3 5 2)

Structural model:
```
data_Cd2In2Cu
_symmetry_space_group_name_H-M 'I b a m'
_symmetry_Int_Tables_number 72
_symmetry_space_group_name_Hall '-I 2 2c'
_cell_length_a 6.7057
_cell_length_b 12.5877
_cell_length_c 5.2899
_cell_angle_alpha 90.00
_cell_angle_beta 90.00
_cell_angle_gamma 90.00
loop_
_atom_site_label
_atom_site_type_symbol
_atom_site_fract_x
_atom_site_fract_y
_atom_site_fract_z
Cd1 Cd 0.1543 0.0829 0.0000
In1 In 0.1635 0.3243 0.0000
Cu1 Cu 0.0000 0.5000 0.2500
```